# 1
# LaInS2O
Simulated powder XRD pattern, Cu Kα. Input: the PBE geometry in Alexandria.
Intensities are scaled so that the largest is 100.

Peak list (10 most intense, 10° ≤ 2θ ≤ 80°, by angle)
2theta, d/Å, Rel. int.
13.60, 6.513, 18
25.90, 3.441, 100
27.39, 3.257, 21
31.21, 2.865, 76
35.36, 2.538, 23
42.00, 2.151, 37
44.73, 2.026, 33
47.51, 1.914, 17
52.41, 1.746, 30
52.91, 1.730, 21

Cell and atoms:
Cell: 4.0523 4.0523 13.0264 Å, 90.00 90.00 90.00°
Space group P4/nmm (No. 129, origin choice 2)
Symmetry-distinct sites (fractional):
La  0.2500  0.2500  0.0963 x2
In  0.2500  0.2500  0.6075 x2
S  0.2500  0.2500  0.4148 x2
S  0.2500  0.2500  0.7913 x2
O  0.2500  0.7500  0.0000 x2

# 2
# La2InS2O2
Simulated powder XRD pattern, Cu Kα. Input: the PBE geometry in Alexandria.
Intensities are scaled so that the largest is 100.

Peak list (10 most intense, 10° ≤ 2θ ≤ 80°, by angle)
2theta, d/Å, Rel. int.
11.74, 7.539, 22
27.51, 3.242, 91
29.78, 3.000, 100
36.56, 2.458, 71
38.34, 2.348, 23
42.61, 2.122, 49
51.47, 1.775, 34
57.37, 1.606, 37
61.84, 1.500, 16
70.13, 1.342, 17

Cell and atoms:
Cell: 4.2433 4.2433 15.0780 Å, 90.00 90.00 90.00°
Space group I4/mmm (No. 139)
Symmetry-distinct sites (fractional):
La  0.0000  0.0000  0.1294 x4
In  0.0000  0.0000  0.5000 x2
S  0.0000  0.0000  0.3223 x4
O  0.0000  0.5000  0.0000 x4

# 3
# La2InSe2O2
Simulated powder XRD pattern, Cu Kα. Input: the PBE geometry in Alexandria.
Intensities are scaled so that the largest is 100.

Peak list (10 most intense, 10° ≤ 2θ ≤ 80°, by angle)
2theta, d/Å, Rel. int.
26.85, 3.321, 18
29.33, 3.045, 100
35.46, 2.531, 97
37.43, 2.403, 18
41.96, 2.153, 48
56.07, 1.640, 51
60.84, 1.523, 15
68.96, 1.362, 17
69.62, 1.350, 10
72.44, 1.305, 12

Cell and atoms:
Cell: 4.3065 4.3065 15.6435 Å, 90.00 90.00 90.00°
Space group I4/mmm (No. 139)
Symmetry-distinct sites (fractional):
La  0.0000  0.0000  0.1208 x4
In  0.0000  0.0000  0.5000 x2
Se  0.0000  0.0000  0.3199 x4
O  0.0000  0.5000  0.0000 x4

# 4
# LaInSe2O
Simulated powder XRD pattern, Cu Kα. Input: the PBE geometry in Alexandria.
Intensities are scaled so that the largest is 100.

Peak list (10 most intense, 10° ≤ 2θ ≤ 80°, by angle)
2theta, d/Å, Rel. int.
25.12, 3.546, 31
26.18, 3.404, 17
29.15, 3.064, 38
30.44, 2.937, 100
34.05, 2.633, 24
40.57, 2.224, 29
43.58, 2.077, 43
45.55, 1.991, 16
50.85, 1.796, 23
71.88, 1.313, 17

Cell and atoms:
Cell: 4.1534 4.1534 13.6153 Å, 90.00 90.00 90.00°
Space group P4/nmm (No. 129, origin choice 2)
Symmetry-distinct sites (fractional):
La  0.2500  0.2500  0.0893 x2
In  0.2500  0.2500  0.6093 x2
Se  0.2500  0.2500  0.4131 x2
Se  0.2500  0.2500  0.7960 x2
O  0.2500  0.7500  0.0000 x2

# 5
# LaTaIn2O8
Simulated powder XRD pattern, Cu Kα. Input: the PBE geometry in Alexandria.
Intensities are scaled so that the largest is 100.

Peak list (10 most intense, 10° ≤ 2θ ≤ 80°, by angle)
2theta, d/Å, Rel. int.
25.34, 3.515, 55
25.54, 3.488, 55
31.30, 2.858, 100
36.29, 2.476, 27
48.54, 1.875, 39
48.78, 1.867, 38
52.28, 1.750, 9
59.10, 1.563, 19
62.19, 1.493, 22
65.30, 1.429, 11

Cell and atoms:
Cell: 6.9750 7.0300 6.9989 Å, 90.00 90.00 90.00°
Space group Cmmm (No. 65)
Symmetry-distinct sites (fractional):
La  0.0000  0.0000  0.0000 x2
Ta  0.0000  0.0000  0.5000 x2
In  0.0000  0.5000  0.2621 x4
O  0.0000  0.2892  0.5000 x4
O  0.0000  0.3255  0.0000 x4
O  0.1920  0.0000  0.2908 x8

# 6
# LaInTcO6
Simulated powder XRD pattern, Cu Kα. Input: the PBE geometry in Alexandria.
Intensities are scaled so that the largest is 100.

Peak list (10 most intense, 10° ≤ 2θ ≤ 80°, by angle)
2theta, d/Å, Rel. int.
25.74, 3.461, 100
32.86, 2.725, 41
42.20, 2.141, 25
48.97, 1.860, 43
54.50, 1.684, 24
57.74, 1.597, 10
58.67, 1.574, 14
74.89, 1.268, 10
77.66, 1.230, 9
79.84, 1.201, 9

Cell and atoms:
Cell: 5.4508 5.4508 5.0902 Å, 90.00 90.00 120.00°
Space group P312 (No. 149)
Symmetry-distinct sites (fractional):
La  0.0000  0.0000  0.0000 x1
In  0.3333  0.6667  0.5000 x1
Tc  0.6667  0.3333  0.5000 x1
O  0.3801  0.0334  0.7168 x6

# 7
# La2TiInO
Simulated powder XRD pattern, Cu Kα. Input: the PBE geometry in Alexandria.
Intensities are scaled so that the largest is 100.

Peak list (10 most intense, 10° ≤ 2θ ≤ 80°, by angle)
2theta, d/Å, Rel. int.
27.57, 3.235, 6
32.36, 2.767, 100
33.58, 2.669, 53
44.55, 2.034, 12
48.22, 1.887, 19
56.92, 1.618, 22
59.27, 1.559, 35
67.74, 1.383, 13
74.34, 1.276, 9
79.79, 1.202, 7

Cell and atoms:
Cell: 5.3380 5.3380 4.0674 Å, 90.00 90.00 90.00°
Space group P4/mmm (No. 123)
Symmetry-distinct sites (fractional):
La  0.0000  0.5000  0.0000 x2
Ti  0.0000  0.0000  0.5000 x1
In  0.5000  0.5000  0.5000 x1
O  0.0000  0.0000  0.0000 x1

# 8
# La2TmInO6
Simulated powder XRD pattern, Cu Kα. Input: the PBE geometry in Alexandria.
Intensities are scaled so that the largest is 100.

Peak list (10 most intense, 10° ≤ 2θ ≤ 80°, by angle)
2theta, d/Å, Rel. int.
29.69, 3.009, 44
30.04, 2.974, 100
30.20, 2.959, 99
30.77, 2.906, 45
42.95, 2.106, 24
43.29, 2.090, 40
52.91, 1.730, 15
53.06, 1.726, 36
54.16, 1.693, 22
54.46, 1.685, 22

Cell and atoms:
Cell: 5.8114 6.0176 10.1985 Å, 90.00 124.32 90.00°
Space group P2_1/c (No. 14)
Symmetry-distinct sites (fractional):
La  0.2326  0.0509  0.2486 x4
Tm  0.5000  0.0000  0.0000 x2
In  0.0000  0.0000  0.5000 x2
O  0.1300  0.1975  0.9366 x4
O  0.2364  0.6977  0.9340 x4
O  0.3717  0.0525  0.7496 x4